Starting from DFT lattice parameters and positions (GGA-PBE), the X-ray powder pattern of YTm2UN4 was computed for λ = 1.5418 Å (Cu Kα).
No peak broadening, texture or thermal motion is included.

Largest 8 diffraction maxima, in order of falling intensity, 15° ≤ 2θ ≤ 90°:
hkl  2θ/deg  d [Å]  intensity
1 1 2  32.0  2.797  1000
2 0 0  37.0  2.427  473
2 0 4  53.6  1.711  321
3 1 2  63.6  1.463  300
0 0 4  37.3  2.412  231
2 2 4  66.9  1.398  163
2 2 0  53.4  1.716  163
1 1 6  63.9  1.456  149

```
data_YTm2UN4
_chemical_formula_sum 'Y2 Tm4 U2 N8'
_space_group_name_H-M_alt 'I -4 m 2'
_space_group_IT_number 119
_space_group_name_Hall 'I -4 -2'
_cell_length_a 4.854
_cell_length_b 4.854
_cell_length_c 9.649
_cell_angle_alpha 90.00
_cell_angle_beta 90.00
_cell_angle_gamma 90.00
loop_
_atom_site_label
_atom_site_type_symbol
_atom_site_fract_x
_atom_site_fract_y
_atom_site_fract_z
Y1 Y 0.000 0.000 0.000
Tm1 Tm 0.000 0.000 0.500
Tm2 Tm 0.000 0.500 0.250
U1 U 0.000 0.500 0.750
N1 N 0.000 0.000 0.253
N2 N 0.000 0.500 0.514
```


Starting from DFT lattice parameters and positions (GGA-PBE), the X-ray powder pattern of TmVN was computed for λ = 1.5418 Å (Cu Kα).
No peak broadening, texture or thermal motion is included.

Largest 8 diffraction maxima, in order of falling intensity, 15° ≤ 2θ ≤ 90°:
hkl  2θ/deg  d [Å]  intensity
2 2 2  37.1  2.424  1000
1 1 1  18.3  4.847  556
0 0 4  33.9  2.648  475
1 3 1  33.6  2.664  460
1 3 3  41.6  2.170  350
3 1 1  41.7  2.165  328
1 1 3  30.2  2.963  253
2 2 6  62.7  1.482  218

```
data_TmVN
_chemical_formula_sum 'Tm16 V16 N16'
_space_group_name_H-M_alt 'F d d d'
_space_group_IT_number 70
_cell_length_a 6.844
_cell_length_b 9.018
_cell_length_c 10.590
_cell_angle_alpha 90.00
_cell_angle_beta 90.00
_cell_angle_gamma 90.00
loop_
_space_group_symop_operation_xyz
'x,y,z'
'-x,-y,-z'
'-x+1/4,-y+1/4,z'
'x+1/4,y+1/4,-z'
'x,-y+1/4,-z+1/4'
'-x,y+1/4,z+1/4'
'-x+1/4,y,-z+1/4'
'x+1/4,-y,z+1/4'
'x,y+1/2,z+1/2'
'-x,-y+1/2,-z+1/2'
'-x+1/4,-y+3/4,z+1/2'
'x+1/4,y+3/4,-z+1/2'
'x,-y+3/4,-z+3/4'
'-x,y+3/4,z+3/4'
'-x+1/4,y+1/2,-z+3/4'
'x+1/4,-y+1/2,z+3/4'
'x+1/2,y,z+1/2'
'-x+1/2,-y,-z+1/2'
'-x+3/4,-y+1/4,z+1/2'
'x+3/4,y+1/4,-z+1/2'
'x+1/2,-y+1/4,-z+3/4'
'-x+1/2,y+1/4,z+3/4'
'-x+3/4,y,-z+3/4'
'x+3/4,-y,z+3/4'
'x+1/2,y+1/2,z'
'-x+1/2,-y+1/2,-z'
'-x+3/4,-y+3/4,z'
'x+3/4,y+3/4,-z'
'x+1/2,-y+3/4,-z+1/4'
'-x+1/2,y+3/4,z+1/4'
'-x+3/4,y+1/2,-z+1/4'
'x+3/4,-y+1/2,z+1/4'
loop_
_atom_site_label
_atom_site_type_symbol
_atom_site_fract_x
_atom_site_fract_y
_atom_site_fract_z
Tm1 Tm 0.000 0.000 0.000
V1 V 0.125 0.125 0.502
N1 N 0.125 0.298 0.625
```


Starting from DFT lattice parameters and positions (GGA-PBE), the X-ray powder pattern of TmW3N6 was computed for λ = 1.5418 Å (Cu Kα).
No peak broadening, texture or thermal motion is included.

Largest 8 diffraction maxima, in order of falling intensity, 15° ≤ 2θ ≤ 90°:
hkl  2θ/deg  d [Å]  intensity
0 1 3  30.8  2.902  1000
0 3 1  30.9  2.892  800
0 2 -2  34.9  2.569  607
1 1 -1  34.4  2.605  436
-1 2 1  36.7  2.452  320
1 2 1  36.3  2.473  304
1 1 -2  40.4  2.235  260
1 3 4  55.5  1.656  252

```
data_TmW3N6
_chemical_formula_sum 'Tm2 W6 N12'
_space_group_name_H-M_alt 'P -1'
_space_group_IT_number 2
_cell_length_a 3.022
_cell_length_b 8.680
_cell_length_c 8.710
_cell_angle_alpha 72.46
_cell_angle_beta 89.54
_cell_angle_gamma 89.57
loop_
_space_group_symop_operation_xyz
'x,y,z'
'-x,-y,-z'
loop_
_atom_site_label
_atom_site_type_symbol
_atom_site_fract_x
_atom_site_fract_y
_atom_site_fract_z
Tm1 Tm 0.247 0.307 0.053
W1 W 0.231 0.924 0.167
W2 W 0.255 0.481 0.679
W3 W 0.283 0.148 0.433
N1 N 0.237 0.912 0.393
N2 N 0.242 0.736 0.719
N3 N 0.248 0.388 0.475
N4 N 0.252 0.535 0.149
N5 N 0.254 0.240 0.793
N6 N 0.258 0.907 0.925
```